Diffraction record for MgW2O7. The powder X-ray diffraction pattern is computed, not measured: it uses a cell relaxed with PBE+U and Cu Kα X-rays.

```
20
Lattice="6.2364 0.0000 0.0000 0.0000 6.2933 0.0000 -2.9128 0.0000 8.0204" Properties=species:S:1:pos:R:3 pbc="T T T"
Mg -0.2125 0.0000 1.0789
Mg 3.5361 3.1467 6.9415
W 0.3283 3.3015 2.3573
W 0.2141 3.9150 5.9555
W 3.1095 0.7683 2.0649
W 2.9953 0.1548 5.6630
O -0.6924 1.8342 2.2165
O 0.1124 4.1393 0.7140
O -1.0222 2.5851 6.0297
O -0.0923 4.2026 3.9046
O 1.5288 6.1684 2.0138
O 0.0061 4.6884 7.5147
O 1.9881 2.6385 2.5307
O 1.3356 5.7852 5.4897
O 3.3176 1.5417 0.5057
O 1.7948 3.0218 6.0066
O 3.4159 1.0560 4.1157
O 4.3459 5.7318 1.9907
O 3.2112 0.9926 7.3063
O 4.0161 4.9808 5.8039
```

The 8 most intense peaks (10° ≤ 2θ ≤ 90°), most intense first:
(1 1 0), d = 4.289 Å, 20.71 deg, I = 100
(0 0 2), d = 4.010 Å, 22.17 deg, I = 65
(1 1 -1), d = 4.250 Å, 20.90 deg, I = 62
(2 0 -1), d = 3.117 Å, 28.64 deg, I = 35
(1 1 -2), d = 3.381 Å, 26.36 deg, I = 31
(1 1 2), d = 2.621 Å, 34.21 deg, I = 29
(1 1 -3), d = 2.576 Å, 34.83 deg, I = 26
(0 2 2), d = 2.475 Å, 36.29 deg, I = 25